This entry pairs a crystal structure of Ac4Ni with its simulated PXRD pattern. Radiation: Cu Kα, 1.54184 Å. Structure: a cell relaxed with PBE.
Neutral-atom scattering factors, no anomalous dispersion.

Most intense lines, 5° ≤ 2θ ≤ 70°, by angle:
- 24.9°, I = 11.6, (2 2 0)
- 26.6°, I = 22.1, (0 0 2)
- 28.3°, I = 100.0, (0 4 1)
- 36.7°, I = 22.3, (2 2 2)
- 43.8°, I = 15.8, (2 6 0)
- 44.0°, I = 8.0, (4 0 0)
- 48.0°, I = 23.9, (0 4 3)
- 52.0°, I = 14.4, (2 6 2)
- 52.1°, I = 7.3, (4 0 2)
- 53.1°, I = 12.5, (4 4 1)

Atomic structure:
```
data_Ac4Ni
_chemical_formula_sum 'Ac16 Ni4'
_cell_length_a 8.236
_cell_length_b 14.344
_cell_length_c 6.706
_cell_angle_alpha 90.00
_cell_angle_beta 90.00
_cell_angle_gamma 90.00
_symmetry_space_group_name_H-M 'C m c e'
_symmetry_Int_Tables_number 64
_symmetry_space_group_name_Hall '-C 2ac 2'
loop_
_atom_site_label
_atom_site_type_symbol
_atom_site_fract_x
_atom_site_fract_y
_atom_site_fract_z
Ac1 Ac 0.000 0.172 0.240
Ac2 Ac 0.250 0.086 0.750
Ni1 Ni 0.000 0.000 0.000
```

***

This entry pairs a crystal structure of Ac3Ni3Pd with its simulated PXRD pattern. Radiation: Cu Kα, 1.54184 Å. Structure: a cell relaxed with PBE.
Neutral-atom scattering factors, no anomalous dispersion.

Most intense lines, 5° ≤ 2θ ≤ 70°, by angle:
- 25.1°, I = 45.0, (0 1 3)
- 28.0°, I = 22.4, (0 0 6)
- 31.3°, I = 100.0, (1 1 2)
- 31.7°, I = 55.9, (1 0 5)
- 35.4°, I = 25.6, (1 1 4)
- 39.2°, I = 20.6, (0 1 7)
- 42.4°, I = 24.0, (0 2 0)
- 43.0°, I = 23.0, (2 0 0)
- 53.8°, I = 25.5, (1 2 5)
- 62.0°, I = 15.6, (2 2 0)

Atomic structure:
```
data_Ac3Ni3Pd
_chemical_formula_sum 'Ac6 Ni6 Pd2'
_cell_length_a 4.204
_cell_length_b 4.266
_cell_length_c 19.090
_cell_angle_alpha 90.00
_cell_angle_beta 90.00
_cell_angle_gamma 90.00
_symmetry_space_group_name_H-M 'I m m 2'
_symmetry_Int_Tables_number 44
loop_
_symmetry_equiv_pos_as_xyz
'x,y,z'
'-x,-y,z'
'-x,y,z'
'x,-y,z'
'x+1/2,y+1/2,z+1/2'
'-x+1/2,-y+1/2,z+1/2'
'-x+1/2,y+1/2,z+1/2'
'x+1/2,-y+1/2,z+1/2'
loop_
_atom_site_label
_atom_site_type_symbol
_atom_site_fract_x
_atom_site_fract_y
_atom_site_fract_z
Ac1 Ac 0.000 0.000 0.000
Ac2 Ac 0.000 0.000 0.363
Ac3 Ac 0.000 0.500 0.178
Ni1 Ni 0.000 0.000 0.542
Ni2 Ni 0.000 0.000 0.829
Ni3 Ni 0.000 0.500 0.608
Pd1 Pd 0.000 0.500 0.744
```

***

This entry pairs a crystal structure of Na2Pa2RhS6 with its simulated PXRD pattern. Radiation: Cu Kα, 1.54184 Å. Structure: a cell relaxed with PBE.
Neutral-atom scattering factors, no anomalous dispersion.

Most intense lines, 5° ≤ 2θ ≤ 70°, by angle:
- 12.9°, I = 100.0, (0 0 1)
- 27.1°, I = 29.9, (1 3 0)
- 27.6°, I = 13.5, (2 0 -1)
- 28.2°, I = 17.6, (1 3 -1)
- 31.9°, I = 51.1, (1 3 1)
- 32.6°, I = 23.9, (2 0 -2)
- 34.8°, I = 18.8, (2 0 1)
- 40.8°, I = 15.6, (1 3 2)
- 44.7°, I = 18.6, (1 3 -3)
- 47.8°, I = 16.3, (3 3 -1)

Atomic structure:
```
data_Na2Pa2RhS6
_chemical_formula_sum 'Na4 Pa4 Rh2 S12'
_cell_length_a 6.561
_cell_length_b 11.602
_cell_length_c 7.157
_cell_angle_alpha 90.00
_cell_angle_beta 106.94
_cell_angle_gamma 90.00
_symmetry_space_group_name_H-M 'C 1 2/m 1'
_symmetry_Int_Tables_number 12
loop_
_symmetry_equiv_pos_as_xyz
'x,y,z'
'-x,-y,-z'
'-x,y,-z'
'x,-y,z'
'x+1/2,y+1/2,z'
'-x+1/2,-y+1/2,-z'
'-x+1/2,y+1/2,-z'
'x+1/2,-y+1/2,z'
loop_
_atom_site_label
_atom_site_type_symbol
_atom_site_fract_x
_atom_site_fract_y
_atom_site_fract_z
Na1 Na 0.000 0.162 0.000
Pa1 Pa 0.000 0.336 0.500
Rh1 Rh 0.000 0.000 0.500
S1 S 0.239 0.170 0.721
S2 S 0.248 0.000 0.284
```

***

This entry pairs a crystal structure of K2RbBiSe3 with its simulated PXRD pattern. Radiation: Cu Kα, 1.54184 Å. Structure: a cell relaxed with PBE.
Neutral-atom scattering factors, no anomalous dispersion.

Most intense lines, 5° ≤ 2θ ≤ 70°, by angle:
- 15.2°, I = 49.5, (1 1 1)
- 17.6°, I = 47.4, (2 0 0)
- 25.0°, I = 28.9, (2 2 0)
- 28.0°, I = 100.0, (3 1 0)
- 29.4°, I = 22.4, (3 1 1)
- 33.2°, I = 48.4, (3 1 2)
- 40.0°, I = 22.3, (4 0 2)
- 44.0°, I = 19.6, (4 2 2)
- 45.9°, I = 35.9, (4 1 3)
- 46.8°, I = 18.8, (5 1 1)

Atomic structure:
```
data_K2RbBiSe3
_chemical_formula_sum 'K8 Rb4 Bi4 Se12'
_cell_length_a 10.089
_cell_length_b 10.089
_cell_length_c 10.089
_cell_angle_alpha 90.00
_cell_angle_beta 90.00
_cell_angle_gamma 90.00
_symmetry_space_group_name_H-M 'P 21 3'
_symmetry_Int_Tables_number 198
_symmetry_space_group_name_Hall 'P 2ac 2ab 3'
loop_
_atom_site_label
_atom_site_type_symbol
_atom_site_fract_x
_atom_site_fract_y
_atom_site_fract_z
K1 K 0.182 0.318 0.682
K2 K 0.188 0.688 0.812
Rb1 Rb 0.072 0.072 0.072
Bi1 Bi 0.029 0.971 0.471
Se1 Se 0.002 0.226 0.397
```

***

This entry pairs a crystal structure of Nb10Ge7 with its simulated PXRD pattern. Radiation: Cu Kα, 1.54184 Å. Structure: a cell relaxed with PBE.
Neutral-atom scattering factors, no anomalous dispersion.

Most intense lines, 5° ≤ 2θ ≤ 70°, by angle:
- 33.0°, I = 11.5, (0 0 2)
- 34.9°, I = 16.7, (4 1 0)
- 38.8°, I = 82.6, (1 4 1)
- 39.8°, I = 73.0, (3 3 0)
- 40.4°, I = 100.0, (3 0 2)
- 51.3°, I = 15.5, (5 2 1)
- 58.0°, I = 23.2, (0 6 2)
- 61.9°, I = 12.7, (7 1 1)
- 62.8°, I = 17.5, (4 1 3)
- 64.7°, I = 8.5, (4 4 2)

Atomic structure:
```
data_Nb10Ge7
_chemical_formula_sum 'Nb30 Ge21'
_cell_length_a 13.5995
_cell_length_b 13.5995
_cell_length_c 5.4266
_cell_angle_alpha 90.00
_cell_angle_beta 90.00
_cell_angle_gamma 120.00
_symmetry_space_group_name_H-M 'P -3 m 1'
_symmetry_Int_Tables_number 164
_symmetry_space_group_name_Hall '-P 3 2"'
loop_
_atom_site_label
_atom_site_type_symbol
_atom_site_fract_x
_atom_site_fract_y
_atom_site_fract_z
Nb1 Nb 0.0000 0.3316 0.0000
Nb2 Nb 0.0000 0.3356 0.5000
Nb3 Nb 0.0877 0.1755 0.7294
Nb4 Nb 0.1587 0.5794 0.7705
Nb5 Nb 0.2455 0.4910 0.2278
Ge1 Ge 0.0000 0.0000 0.0000
Ge2 Ge 0.0728 0.5364 0.2471
Ge3 Ge 0.1302 0.2605 0.2487
Ge4 Ge 0.2029 0.4058 0.7422
Ge5 Ge 0.3333 0.6667 0.4970
```

***

This entry pairs a crystal structure of CsK2U3S8 with its simulated PXRD pattern. Radiation: Cu Kα, 1.54184 Å. Structure: a cell relaxed with PBE.
Neutral-atom scattering factors, no anomalous dispersion.

Most intense lines, 5° ≤ 2θ ≤ 70°, by angle:
- 11.3°, I = 100.0, (0 0 3)
- 19.6°, I = 32.9, (1 0 4)
- 22.7°, I = 38.7, (0 0 6)
- 24.4°, I = 46.2, (1 1 3)
- 25.2°, I = 65.1, (0 2 1)
- 26.1°, I = 24.2, (2 0 2)
- 29.3°, I = 52.4, (0 2 4)
- 36.8°, I = 49.8, (0 2 7)
- 39.8°, I = 36.6, (2 0 8)
- 43.9°, I = 36.4, (2 2 0)

Atomic structure:
```
data_CsK2U3S8
_chemical_formula_sum 'Cs3 K6 U9 S24'
_cell_length_a 8.2473
_cell_length_b 8.2473
_cell_length_c 23.4781
_cell_angle_alpha 90.00
_cell_angle_beta 90.00
_cell_angle_gamma 120.00
_symmetry_space_group_name_H-M 'R 3 m'
_symmetry_Int_Tables_number 160
_symmetry_space_group_name_Hall 'R 3 -2"'
loop_
_atom_site_label
_atom_site_type_symbol
_atom_site_fract_x
_atom_site_fract_y
_atom_site_fract_z
Cs1 Cs 0.0000 0.0000 0.0000
K1 K 0.0000 0.0000 0.3642
K2 K 0.0000 0.0000 0.7360
U1 U 0.1672 0.3344 0.1973
S1 S 0.0000 0.0000 0.1399
S2 S 0.0000 0.0000 0.5920
S3 S 0.0367 0.5183 0.1369
S4 S 0.1882 0.3764 0.9231
```

***

This entry pairs a crystal structure of Ho2ZnPt4 with its simulated PXRD pattern. Radiation: Cu Kα, 1.54184 Å. Structure: a cell relaxed with PBE.
Neutral-atom scattering factors, no anomalous dispersion.

Most intense lines, 5° ≤ 2θ ≤ 70°, by angle:
- 22.6°, I = 100.0, (1 1 0)
- 29.5°, I = 66.3, (1 1 2)
- 33.5°, I = 48.9, (0 1 -2)
- 36.6°, I = 39.8, (2 1 1)
- 38.2°, I = 88.1, (-1 1 1)
- 39.0°, I = 90.3, (1 -1 2)
- 40.3°, I = 56.2, (1 1 3)
- 40.6°, I = 77.5, (0 0 3)
- 41.6°, I = 46.7, (0 2 1)
- 42.1°, I = 85.8, (2 0 2)

Atomic structure:
```
data_Ho2ZnPt4
_chemical_formula_sum 'Ho2 Zn1 Pt4'
_cell_length_a 4.943
_cell_length_b 4.956
_cell_length_c 7.087
_cell_angle_alpha 81.74
_cell_angle_beta 70.35
_cell_angle_gamma 67.21
_symmetry_space_group_name_H-M 'P -1'
_symmetry_Int_Tables_number 2
loop_
_symmetry_equiv_pos_as_xyz
'x,y,z'
'-x,-y,-z'
loop_
_atom_site_label
_atom_site_type_symbol
_atom_site_fract_x
_atom_site_fract_y
_atom_site_fract_z
Ho1 Ho 0.153 0.005 0.220
Zn1 Zn 0.500 0.500 0.500
Pt1 Pt 0.000 0.500 0.500
Pt2 Pt 0.176 0.330 0.845
Pt3 Pt 0.500 0.000 0.500
```

***

This entry pairs a crystal structure of Zr4Bi3H4 with its simulated PXRD pattern. Radiation: Cu Kα, 1.54184 Å. Structure: a cell relaxed with PBE.
Neutral-atom scattering factors, no anomalous dispersion.

Most intense lines, 5° ≤ 2θ ≤ 70°, by angle:
- 12.4°, I = 21.5, (0 0 2)
- 22.0°, I = 33.9, (0 1 3)
- 23.3°, I = 56.7, (0 2 0)
- 25.4°, I = 26.9, (1 0 1)
- 31.0°, I = 31.5, (1 0 3)
- 33.4°, I = 30.3, (0 1 5)
- 34.7°, I = 100.0, (1 2 1)
- 37.3°, I = 79.4, (1 1 4)
- 47.8°, I = 20.4, (0 3 5)
- 57.1°, I = 20.6, (1 2 7)

Atomic structure:
```
data_Zr4Bi3H4
_chemical_formula_sum 'Zr8 Bi6 H8'
_cell_length_a 3.614
_cell_length_b 7.642
_cell_length_c 14.319
_cell_angle_alpha 90.00
_cell_angle_beta 90.00
_cell_angle_gamma 90.00
_symmetry_space_group_name_H-M 'I m m m'
_symmetry_Int_Tables_number 71
_symmetry_space_group_name_Hall '-I 2 2'
loop_
_atom_site_label
_atom_site_type_symbol
_atom_site_fract_x
_atom_site_fract_y
_atom_site_fract_z
Zr1 Zr 0.000 0.000 0.194
Zr2 Zr 0.000 0.208 0.500
Bi1 Bi 0.000 0.000 0.000
Bi2 Bi 0.000 0.500 0.136
H1 H 0.000 0.358 0.354
```